1.
RbNaIrSe3: calculated powder XRD pattern (Cu Kα X-rays), based on a structure optimized by DFT (GGA-PBE).
Kinematic intensities with the Lorentz-polarization factor, no thermal factor.

Most intense lines, 10° ≤ 2θ ≤ 80°, in order of rising 2θ:
- hkl 0 2 0, 12.8°, I 36
- hkl 1 1 0, 13.7°, I 100
- hkl 0 4 0, 25.7°, I 32
- hkl 1 3 1, 26.0°, I 31
- hkl 2 0 2, 35.0°, I 59
- hkl 2 4 2, 43.9°, I 27

Cell and atoms:
Lattice parameters (Å, degrees): 7.339 13.862 7.167 90.00 90.00 90.00
Space group Cmcm (No. 63)
Inequivalent atoms, fractional coordinates:
Rb 0.000 0.232 0.250 x4
Na 0.000 0.421 0.750 x4
Ir 0.000 0.045 0.750 x4
Se 0.000 0.219 0.750 x4
Se 0.214 0.000 0.000 x8

2.
NaIr5S8: calculated powder XRD pattern (Cu Kα X-rays), based on a structure optimized by DFT (GGA-PBE).
Kinematic intensities with the Lorentz-polarization factor, no thermal factor.

Most intense lines, 10° ≤ 2θ ≤ 80°, in order of rising 2θ:
- hkl 0 0 1, 10.3°, I 46
- hkl 0 1 0, 11.0°, I 100
- hkl 0 1 -1, 12.9°, I 40
- hkl 0 2 1, 26.9°, I 29
- hkl 1 0 1, 29.0°, I 31
- hkl 1 0 -2, 29.4°, I 40

Cell and atoms:
Lattice parameters (Å, degrees): 3.617 8.368 9.073 105.46 100.33 91.01
Space group P1 (No. 1)
Inequivalent atoms, fractional coordinates:
Na 0.000 0.000 0.000 x1
Ir 0.034 0.829 0.350 x1
Ir 0.155 0.463 0.230 x1
Ir 0.364 0.510 0.952 x1
Ir 0.630 0.192 0.540 x1
Ir 0.701 0.562 0.620 x1
S 0.139 0.390 0.462 x1
S 0.148 0.037 0.591 x1
S 0.278 0.696 0.777 x1
S 0.516 0.998 0.291 x1
S 0.560 0.681 0.412 x1
S 0.570 0.318 0.095 x1
S 0.779 0.390 0.787 x1
S 0.919 0.683 0.079 x1

3.
NaIr2S4: calculated powder XRD pattern (Cu Kα X-rays), based on a structure optimized by DFT (GGA-PBE).
Kinematic intensities with the Lorentz-polarization factor, no thermal factor.

Most intense lines, 10° ≤ 2θ ≤ 80°, in order of rising 2θ:
- hkl 0 0 1, 13.8°, I 100
- hkl 1 1 0, 28.9°, I 23
- hkl 1 1 -1, 29.9°, I 14
- hkl 2 0 -2, 34.1°, I 18
- hkl 1 1 1, 34.3°, I 36
- hkl 1 1 2, 43.9°, I 14

Cell and atoms:
Lattice parameters (Å, degrees): 6.224 3.626 6.768 90.00 108.56 90.00
Space group P2/m (No. 10)
Inequivalent atoms, fractional coordinates:
Na 0.000 0.000 0.000 x1
Ir 0.000 0.500 0.500 x1
Ir 0.500 0.000 0.500 x1
S 0.230 0.000 0.683 x2
S 0.271 0.500 0.316 x2